# 1
The following is a calculated XRD peak list of Tc3Ru. It was derived from a crystal structure in Alexandria, relaxed with GGA-PBE, using λ = 1.5418 Å (Cu Kα).
Intensities are scaled so that the largest is 100.

Structural model:
```
4
Lattice="-1.3772 4.3727 2.3849 1.3772 -4.3727 2.3849 1.3772 4.3727 -2.3849" Properties=species:S:1:pos:R:3 pbc="T T T"
Tc 0.0000 0.0000 0.0000
Tc 1.3772 2.1926 -0.7962
Tc 0.0000 2.1801 1.5888
Ru 1.3772 0.0000 2.3719
```

Main lines, by angle (10 to 90 degrees two-theta):
37.7 deg, rel. 24.6
41.3 deg, rel. 25.3
43.2 deg, rel. 100.0
68.1 deg, rel. 16.6
76.6 deg, rel. 17.7
82.8 deg, rel. 19.2

# 2
The following is a calculated XRD peak list of Tc3Ru. It was derived from a crystal structure in Alexandria, relaxed with GGA-PBE, using λ = 1.5418 Å (Cu Kα).
Intensities are scaled so that the largest is 100.

Structural model:
```
8
Lattice="4.3563 0.0000 0.0000 0.0000 5.5152 0.0000 0.0000 0.0000 4.7807" Properties=species:S:1:pos:R:3 pbc="T T T"
Tc 1.0891 0.0117 0.7957
Tc 1.0891 2.7459 0.7957
Tc 1.0891 4.1364 3.1985
Tc 3.2672 1.3788 1.5822
Tc 3.2672 2.7693 3.9850
Tc 3.2672 5.5034 3.9850
Ru 1.0891 1.3788 3.1974
Ru 3.2672 4.1364 1.5833
```

Main lines, by angle (10 to 90 degrees two-theta):
37.6 deg, rel. 24.7
41.5 deg, rel. 25.0
43.2 deg, rel. 100.0
68.0 deg, rel. 16.7
76.8 deg, rel. 17.5
82.8 deg, rel. 19.2

# 3
The following is a calculated XRD peak list of Tc3Ru. It was derived from a crystal structure in Alexandria, relaxed with GGA-PBE, using λ = 1.5418 Å (Cu Kα).
Intensities are scaled so that the largest is 100.

Structural model:
```
4
Lattice="2.7571 0.0000 0.0000 -1.3786 2.3878 0.0000 0.0000 0.0000 8.7341" Properties=species:S:1:pos:R:3 pbc="T T T"
Tc 0.0000 0.0000 0.0000
Tc 0.0000 1.5918 2.2011
Tc 0.0000 1.5918 6.5329
Ru 0.0000 0.0000 4.3670
```

Main lines, by angle (10 to 90 degrees two-theta):
37.7 deg, rel. 24.7
41.3 deg, rel. 25.2
43.2 deg, rel. 100.0
68.0 deg, rel. 16.7
76.7 deg, rel. 17.5
82.8 deg, rel. 19.2

# 4
The following is a calculated XRD peak list of TcTe2Ru. It was derived from a crystal structure in Alexandria, relaxed with GGA-PBE, using λ = 1.5418 Å (Cu Kα).
Intensities are scaled so that the largest is 100.

Structural model:
```
4
Lattice="4.0373 0.0000 0.0000 0.0000 4.0373 0.0000 0.0000 0.0000 6.5438" Properties=species:S:1:pos:R:3 pbc="T T T"
Tc 0.0000 0.0000 0.0000
Te 0.0000 2.0186 4.8648
Te 2.0186 0.0000 1.6790
Ru 2.0186 2.0186 0.0000
```

Main lines, by angle (10 to 90 degrees two-theta):
13.5 deg, rel. 72.3
25.9 deg, rel. 100.0
34.3 deg, rel. 36.1
42.0 deg, rel. 90.3
44.9 deg, rel. 37.3
80.8 deg, rel. 30.0

# 5
The following is a calculated XRD peak list of Ti6Tc5Ru. It was derived from a crystal structure in Alexandria, relaxed with GGA-PBE, using λ = 1.5418 Å (Cu Kα).
Intensities are scaled so that the largest is 100.

Structural model:
```
12
Lattice="-2.1945 3.0970 6.5804 2.1945 -3.0970 6.5804 2.1945 3.0970 -6.5804" Properties=species:S:1:pos:R:3 pbc="T T T"
Ti 2.1945 1.5496 -2.1913
Ti 0.0000 1.5506 0.0000
Ti 2.1945 1.5496 2.1913
Ti 0.0000 1.5475 4.3892
Ti 0.0000 4.6435 0.0000
Ti 0.0000 1.5475 8.7717
Tc 0.0000 0.0000 2.1926
Tc 2.1945 0.0000 4.3880
Tc 0.0000 0.0000 6.5804
Tc 0.0000 3.0970 2.1925
Tc 0.0000 0.0000 10.9682
Ru 2.1945 0.0000 0.0000
```

Main lines, by angle (10 to 90 degrees two-theta):
28.8 deg, rel. 17.3
41.2 deg, rel. 100.0
59.6 deg, rel. 10.6
59.7 deg, rel. 5.3
75.0 deg, rel. 26.0
89.4 deg, rel. 6.7

# 6
The following is a calculated XRD peak list of TiVTcRu. It was derived from a crystal structure in Alexandria, relaxed with GGA-PBE, using λ = 1.5418 Å (Cu Kα).
Intensities are scaled so that the largest is 100.

Structural model:
```
4
Lattice="3.0524 0.0000 0.0000 0.0000 3.0524 0.0000 0.0000 0.0000 6.1222" Properties=species:S:1:pos:R:3 pbc="T T T"
Ti 0.0000 0.0000 0.0000
V 0.0000 0.0000 3.0271
Tc 1.5262 1.5262 1.5856
Ru 1.5262 1.5262 4.5693
```

Main lines, by angle (10 to 90 degrees two-theta):
29.2 deg, rel. 16.6
41.8 deg, rel. 100.0
60.5 deg, rel. 5.2
60.7 deg, rel. 10.6
76.3 deg, rel. 10.2
76.4 deg, rel. 20.7

# 7
The following is a calculated XRD peak list of ZrTiTcRu. It was derived from a crystal structure in Alexandria, relaxed with GGA-PBE, using λ = 1.5418 Å (Cu Kα).
Intensities are scaled so that the largest is 100.

Structural model:
```
4
Lattice="3.1899 0.0000 0.0000 0.0000 3.1899 0.0000 0.0000 0.0000 6.3984" Properties=species:S:1:pos:R:3 pbc="T T T"
Zr 0.0000 0.0000 0.0000
Ti 0.0000 0.0000 3.1820
Tc 1.5950 1.5950 1.6885
Ru 1.5950 1.5950 4.7145
```

Main lines, by angle (10 to 90 degrees two-theta):
39.9 deg, rel. 100.0
57.6 deg, rel. 5.2
57.8 deg, rel. 11.0
72.4 deg, rel. 10.2
72.6 deg, rel. 21.3
86.1 deg, rel. 6.4

# 8
The following is a calculated XRD peak list of U2TcRu5. It was derived from a crystal structure in Alexandria, relaxed with GGA-PBE, using λ = 1.5418 Å (Cu Kα).
Intensities are scaled so that the largest is 100.

Structural model:
```
16
Lattice="5.6584 0.0000 0.0000 0.0000 11.3183 0.0000 0.0000 0.0000 4.0105" Properties=species:S:1:pos:R:3 pbc="T T T"
U 1.3802 1.4294 0.0000
U 1.4490 7.0886 0.0000
U 4.2093 4.2298 0.0000
U 4.2782 9.8889 0.0000
Tc 0.0000 5.6592 2.0053
Tc 2.8292 0.0000 2.0053
Ru 0.0000 0.0000 2.0053
Ru 0.0499 8.4987 2.0053
Ru 1.3703 4.2657 0.0000
Ru 1.4588 9.9248 0.0000
Ru 2.7793 2.8395 2.0053
Ru 2.8292 5.6592 2.0053
Ru 2.8791 8.4788 2.0053
Ru 4.1995 1.3935 0.0000
Ru 4.2880 7.0527 0.0000
Ru 5.6085 2.8196 2.0053
```

Main lines, by angle (10 to 90 degrees two-theta):
22.2 deg, rel. 15.9
39.0 deg, rel. 100.0
45.2 deg, rel. 16.4
45.3 deg, rel. 32.4
66.0 deg, rel. 31.7
79.4 deg, rel. 25.1